No. 1
For Gd3YFe4O12, DFT lattice parameters and positions (GGA+U) gives the computed X-ray diffraction stick pattern in this record (copper Kα).
Lines closer than 0.1° are merged.

Cell and atoms:
```
data_Gd3YFe4O12
_cell_length_a 5.3897
_cell_length_b 7.7619
_cell_length_c 5.6694
_cell_angle_alpha 90.00
_cell_angle_beta 90.02
_cell_angle_gamma 90.00
_space_group_name_H-M_alt 'P 1 m 1'
_space_group_IT_number 6
loop_
_space_group_symop_operation_xyz
'x,y,z'
'x,-y,z'
loop_
_atom_site_label
_atom_site_fract_x
_atom_site_fract_y
_atom_site_fract_z
Gd1 0.0000 0.0000 0.0000
Gd2 0.0348 0.5000 0.1297
Gd3 0.5352 0.0000 0.5012
Y1 0.4991 0.5000 0.6320
Fe1 0.0174 0.2509 0.5650
Fe2 0.5181 0.2506 0.0658
O1 0.1266 0.0000 0.6023
O2 0.2145 0.3077 0.8665
O3 0.3246 0.3089 0.3702
O4 0.4089 0.0000 0.1041
O5 0.6268 0.5000 0.0226
O6 0.7130 0.1937 0.7623
O7 0.8242 0.1943 0.2612
O8 0.9023 0.5000 0.5265
```

Peak list (6 most intense, 15 to 90 degrees two-theta, low angle first)
two_theta  I/Imax
25.5  20
31.6  19
32.5  100
33.2  24
52.7  20
58.9  22

No. 2
For Cs2CoAuO4, DFT lattice parameters and positions (GGA+U) gives the computed X-ray diffraction stick pattern in this record (copper Kα).
Lines closer than 0.1° are merged.

Cell and atoms:
```
data_Cs2CoAuO4
_cell_length_a 5.5721
_cell_length_b 12.7431
_cell_length_c 21.3205
_cell_angle_alpha 90.00
_cell_angle_beta 90.00
_cell_angle_gamma 90.00
_space_group_name_H-M_alt 'F d d d'
_space_group_IT_number 70
loop_
_space_group_symop_operation_xyz
'x,y,z'
'-x,-y,-z'
'-x+1/4,-y+1/4,z'
'x+1/4,y+1/4,-z'
'x,-y+1/4,-z+1/4'
'-x,y+1/4,z+1/4'
'-x+1/4,y,-z+1/4'
'x+1/4,-y,z+1/4'
'x,y+1/2,z+1/2'
'-x,-y+1/2,-z+1/2'
'-x+1/4,-y+3/4,z+1/2'
'x+1/4,y+3/4,-z+1/2'
'x,-y+3/4,-z+3/4'
'-x,y+3/4,z+3/4'
'-x+1/4,y+1/2,-z+3/4'
'x+1/4,-y+1/2,z+3/4'
'x+1/2,y,z+1/2'
'-x+1/2,-y,-z+1/2'
'-x+3/4,-y+1/4,z+1/2'
'x+3/4,y+1/4,-z+1/2'
'x+1/2,-y+1/4,-z+3/4'
'-x+1/2,y+1/4,z+3/4'
'-x+3/4,y,-z+3/4'
'x+3/4,-y,z+3/4'
'x+1/2,y+1/2,z'
'-x+1/2,-y+1/2,-z'
'-x+3/4,-y+3/4,z'
'x+3/4,y+3/4,-z'
'x+1/2,-y+3/4,-z+1/4'
'-x+1/2,y+3/4,z+1/4'
'-x+3/4,y+1/2,-z+1/4'
'x+3/4,-y+1/2,z+1/4'
loop_
_atom_site_label
_atom_site_fract_x
_atom_site_fract_y
_atom_site_fract_z
Cs1 0.1250 0.1250 0.3015
Co1 0.1250 0.1250 0.6250
Au1 0.1250 0.1250 0.1250
O1 0.0762 0.2835 0.8344
```

Peak list (6 most intense, 15 to 90 degrees two-theta, low angle first)
two_theta  I/Imax
17.9  60
28.0  47
28.8  100
33.9  39
35.2  57
50.5  42